Entry 1:
For Pu3In4Ag4, a structure optimized by DFT (PBE) gives the computed XRD peak list in this record (copper Kα).
Intensities are scaled so that the largest is 100.

Cell and atoms:
Cell lengths 9.316, 6.031, 6.031 Å; angles 50.57, 90.00, 90.00 degrees
Fractional positions:
Pu 0.000 0.000 0.000
Pu 0.298 0.137 0.137
Pu 0.702 0.137 0.137
In 0.000 0.301 0.301
In 0.280 0.829 0.829
In 0.500 0.381 0.381
In 0.720 0.829 0.829
Ag 0.000 0.673 0.673
Ag 0.222 0.479 0.479
Ag 0.500 0.644 0.644
Ag 0.778 0.479 0.479

Main lines, by intensity (2θ from 10° to 80°):
35.86 deg, I = 100.0
34.83 deg, I = 36.7
34.72 deg, I = 30.2
63.12 deg, I = 20.5
38.66 deg, I = 16.4
53.00 deg, I = 13.6
31.62 deg, I = 12.8
34.27 deg, I = 11.6
49.67 deg, I = 9.1
71.42 deg, I = 8.7

Entry 2:
For PuInAgSn, a structure optimized by DFT (PBE) gives the computed XRD peak list in this record (copper Kα).
Intensities are scaled so that the largest is 100.

Cell and atoms:
Cell lengths 4.482, 4.519, 4.777 Å; angles 90.00, 90.00, 90.00 degrees
Fractional positions:
Pu 0.000 0.000 0.000
In 0.500 0.000 0.500
Ag 0.000 0.500 0.500
Sn 0.500 0.500 0.000

Main lines, by intensity (2θ from 10° to 80°):
33.84 deg, I = 100.0
37.66 deg, I = 18.7
39.90 deg, I = 16.0
40.24 deg, I = 15.6
65.55 deg, I = 14.8
68.59 deg, I = 13.0
69.07 deg, I = 12.7
56.02 deg, I = 11.9
56.29 deg, I = 11.7
71.20 deg, I = 11.6

Entry 3:
For RbIn4Ag, a structure optimized by DFT (PBE) gives the computed XRD peak list in this record (copper Kα).
Intensities are scaled so that the largest is 100.

Cell and atoms:
Cell lengths 9.596, 9.596, 5.799 Å; angles 102.82, 102.82, 46.63 degrees
Fractional positions:
Rb 0.220 0.220 0.154
Rb 0.780 0.780 0.846
In 0.101 0.710 0.450
In 0.195 0.805 0.000
In 0.290 0.899 0.550
In 0.365 0.365 0.746
In 0.635 0.635 0.254
In 0.710 0.101 0.450
In 0.805 0.195 0.000
In 0.899 0.290 0.550
Ag 0.453 0.453 0.242
Ag 0.547 0.547 0.758

Main lines, by intensity (2θ from 10° to 80°):
10.34 deg, I = 100.0
29.53 deg, I = 72.6
29.12 deg, I = 69.5
35.85 deg, I = 52.2
39.87 deg, I = 47.9
33.16 deg, I = 47.6
39.68 deg, I = 39.4
32.97 deg, I = 33.5
49.79 deg, I = 26.9
38.71 deg, I = 22.7